Calculated PXRD pattern
Compound: HoHgBr6
Radiation: Cu Kα X-rays
Structure: a crystal structure in Alexandria, relaxed with PBE

Largest 10 diffraction maxima, in order of rising 2θ, 10 to 80 degrees two-theta:
d_spacing	2θ (°)	I (rel.)
5.760	15.38	100
5.120	17.32	60
4.877	18.19	83
3.853	23.08	40
3.606	24.69	56
3.579	24.88	63
3.195	27.93	70
2.983	29.95	49
2.384	37.73	42
2.281	39.51	51

Atomic structure:
a b c (Å): 7.0919 7.1261 7.2746
angles (deg): 61.33 66.19 86.88
Fractional positions:
Ho 0.0000 0.0000 0.0000
Hg 0.5000 0.5000 0.0000
Br 0.0474 0.1714 0.5438
Br 0.2297 0.3928 0.8118
Br 0.4089 0.8808 0.8549
Br 0.5911 0.1192 0.1451
Br 0.7703 0.6072 0.1882
Br 0.9526 0.8286 0.4562

***

Calculated PXRD pattern
Compound: Hg2I2Br
Radiation: Cu Kα X-rays
Structure: a crystal structure in Alexandria, relaxed with PBE

Largest 10 diffraction maxima, in order of rising 2θ, 10 to 80 degrees two-theta:
d_spacing	2θ (°)	I (rel.)
7.359	12.03	100
4.023	22.10	27
3.762	23.65	36
3.397	26.23	27
3.095	28.85	28
2.853	31.35	15
2.390	37.63	24
2.288	39.38	30
2.232	40.40	19
2.189	41.25	16

Atomic structure:
a b c (Å): 9.1912 9.1912 9.1912
angles (deg): 123.12 123.12 84.67
Fractional positions:
Hg 0.2107 0.0000 0.2107
Hg 0.7500 0.0393 0.2893
Hg 0.7500 0.4607 0.7107
Hg 0.7893 0.0000 0.7893
I 0.4548 0.2271 0.2277
I 0.9771 0.2493 0.2723
I 0.9771 0.7048 0.7277
I 0.9993 0.2271 0.7723
Br 0.4322 0.9322 0.5000
Br 0.6822 0.6822 0.0000

***

Calculated PXRD pattern
Compound: HgIBr
Radiation: Cu Kα X-rays
Structure: a crystal structure in Alexandria, relaxed with PBE

Largest 10 diffraction maxima, in order of rising 2θ, 10 to 80 degrees two-theta:
d_spacing	2θ (°)	I (rel.)
5.856	15.13	38
5.676	15.61	26
3.665	24.28	100
2.897	30.87	18
2.332	38.60	29
2.225	40.55	31
2.184	41.33	24
1.997	45.42	18
1.940	46.84	16
1.820	50.12	19

Atomic structure:
a b c (Å): 7.5446 7.5446 7.5446
angles (deg): 129.26 126.97 76.46
Fractional positions:
Hg 0.1211 0.3711 0.7500
Hg 0.3789 0.1289 0.2500
I 0.2500 0.9779 0.7279
I 0.7500 0.5221 0.7721
Br 0.0169 0.2500 0.2669
Br 0.4831 0.7500 0.2331